Diffraction record for Na3NbInSi2PO12. The X-ray diffraction stick pattern is calculated, not measured: it uses the PBE geometry in the Materials Project and Cu Kα.
Lines closer than 0.1° are merged.

Most intense lines, 10° ≤ 2θ ≤ 90°, sorted by position:
2theta  d/Å  I/Imax
19.3  4.591  98
19.4  4.574  100
30.8  2.905  81
30.9  2.895  42
33.9  2.641  84
53.0  1.729  36

Crystal structure
Unit cell a=9.1486 b=9.1486 c=9.1997 alpha=120.05 beta=120.05 gamma=60.01
Fractional coordinates of all 40 atoms:
Na (0.0529, 0.9471, 0.5000)
Na (0.3105, 0.8246, 0.2411)
Na (0.5581, 0.7243, 0.0086)
Na (0.7243, 0.5581, 0.5086)
Na (0.8246, 0.3105, 0.7411)
Na (0.9471, 0.0529, 0.0000)
Nb (0.4657, 0.9746, 0.6980)
Nb (0.9746, 0.4657, 0.1980)
In (0.1708, 0.6689, 0.8093)
In (0.6689, 0.1708, 0.3093)
Si (0.0743, 0.2762, 0.5059)
Si (0.2762, 0.0743, 0.0059)
Si (0.7771, 0.8700, 0.5137)
Si (0.8700, 0.7771, 0.0137)
P (0.3668, 0.5798, 0.5151)
P (0.5798, 0.3668, 0.0151)
O (0.0395, 0.3125, 0.3267)
O (0.0495, 0.7493, 0.9968)
O (0.0925, 0.2531, 0.0225)
O (0.0936, 0.4500, 0.6749)
O (0.1924, 0.5433, 0.3547)
O (0.2479, 0.9047, 0.9909)
O (0.2531, 0.0925, 0.5225)
O (0.3125, 0.0395, 0.8267)
O (0.3570, 0.6132, 0.6898)
O (0.3648, 0.7543, 0.5166)
O (0.4314, 0.5416, 0.9904)
O (0.4500, 0.0936, 0.1749)
O (0.5416, 0.4314, 0.4904)
O (0.5433, 0.1924, 0.8547)
O (0.5998, 0.8714, 0.5259)
O (0.6132, 0.3570, 0.1898)
O (0.6805, 0.8235, 0.8392)
O (0.7493, 0.0495, 0.4968)
O (0.7543, 0.3648, 0.0166)
O (0.8235, 0.6805, 0.3392)
O (0.8545, 0.9471, 0.1922)
O (0.8714, 0.5998, 0.0259)
O (0.9047, 0.2479, 0.4909)
O (0.9471, 0.8545, 0.6922)

Diffraction record for CeSe2. The X-ray diffraction stick pattern is calculated, not measured: it uses the PBE geometry in the Materials Project and Cu Kα.
Lines closer than 0.1° are merged.

Most intense lines, 10° ≤ 2θ ≤ 90°, sorted by position:
2theta  d/Å  I/Imax
22.1  4.030  100
31.7  2.827  34
36.1  2.489  75
37.0  2.429  38
38.5  2.340  37
43.5  2.080  63

Crystal structure
Unit cell a=6.8787 b=13.7185 c=7.2215 alpha=90.00 beta=90.00 gamma=90.00
Fractional coordinates of all 24 atoms:
Ce (0.2410, 0.1117, 0.0475)
Ce (0.2410, 0.3883, 0.5475)
Ce (0.2590, 0.6117, 0.0475)
Ce (0.2590, 0.8883, 0.5475)
Ce (0.7410, 0.1117, 0.4525)
Ce (0.7410, 0.3883, 0.9525)
Ce (0.7590, 0.6117, 0.4525)
Ce (0.7590, 0.8883, 0.9525)
Se (0.0000, 0.0277, 0.7414)
Se (0.0000, 0.4723, 0.2414)
Se (0.0000, 0.5277, 0.7586)
Se (0.0000, 0.9723, 0.2586)
Se (0.1269, 0.7107, 0.3757)
Se (0.1269, 0.7893, 0.8757)
Se (0.3731, 0.2107, 0.3757)
Se (0.3731, 0.2893, 0.8757)
Se (0.5000, 0.0277, 0.7586)
Se (0.5000, 0.4723, 0.2586)
Se (0.5000, 0.5277, 0.7414)
Se (0.5000, 0.9723, 0.2414)
Se (0.6269, 0.7107, 0.1243)
Se (0.6269, 0.7893, 0.6243)
Se (0.8731, 0.2107, 0.1243)
Se (0.8731, 0.2893, 0.6243)

Diffraction record for RbHF2. The X-ray diffraction stick pattern is calculated, not measured: it uses the PBE geometry in the Materials Project and Cu Kα.
Lines closer than 0.1° are merged.

Most intense lines, 10° ≤ 2θ ≤ 90°, sorted by position:
2theta  d/Å  I/Imax
21.0  4.223  59
29.9  2.986  38
32.3  2.771  100
38.9  2.317  44
48.2  1.889  32
49.8  1.831  19

Crystal structure
Unit cell a=5.9724 b=5.9724 c=7.3451 alpha=90.00 beta=90.00 gamma=90.00
Fractional coordinates of all 16 atoms:
Rb (0.0000, 0.0000, 0.2500)
Rb (0.0000, 0.0000, 0.7500)
Rb (0.5000, 0.5000, 0.2500)
Rb (0.5000, 0.5000, 0.7500)
H (0.0000, 0.5000, 0.0000)
H (0.0000, 0.5000, 0.5000)
H (0.5000, 0.0000, 0.0000)
H (0.5000, 0.0000, 0.5000)
F (0.1364, 0.3636, 0.0000)
F (0.1364, 0.6364, 0.5000)
F (0.3636, 0.1364, 0.5000)
F (0.3636, 0.8636, 0.0000)
F (0.6364, 0.1364, 0.0000)
F (0.6364, 0.8636, 0.5000)
F (0.8636, 0.3636, 0.5000)
F (0.8636, 0.6364, 0.0000)

Diffraction record for MgSc2Ti2O7. The X-ray diffraction stick pattern is calculated, not measured: it uses the PBE geometry in the Materials Project and Cu Kα.
Lines closer than 0.1° are merged.

Most intense lines, 10° ≤ 2θ ≤ 90°, sorted by position:
2theta  d/Å  I/Imax
19.2  4.615  41
25.0  3.566  29
25.2  3.534  100
31.6  2.832  33
46.5  1.955  39
48.1  1.893  59

Crystal structure
Unit cell a=5.5561 b=5.5561 c=5.5358 alpha=93.91 beta=93.91 gamma=112.33
Fractional coordinates of all 12 atoms:
Mg (0.0000, 0.0000, 0.0000)
Sc (0.2560, 0.6131, 0.1138)
Sc (0.6131, 0.2560, 0.1138)
Ti (0.1933, 0.1933, 0.5098)
Ti (0.6322, 0.6322, 0.7024)
O (0.2778, 0.9747, 0.2625)
O (0.3246, 0.3246, 0.8682)
O (0.5034, 0.5034, 0.3598)
O (0.5675, 0.8805, 0.9378)
O (0.8805, 0.5675, 0.9378)
O (0.9236, 0.9236, 0.6284)
O (0.9747, 0.2778, 0.2625)

Diffraction record for Zn3P2O12. The X-ray diffraction stick pattern is calculated, not measured: it uses the PBE geometry in the Materials Project and Cu Kα.
Lines closer than 0.1° are merged.

Most intense lines, 10° ≤ 2θ ≤ 90°, sorted by position:
2theta  d/Å  I/Imax
11.4  7.787  76
15.0  5.918  57
19.7  4.505  79
30.2  2.957  100
31.7  2.824  48
33.0  2.712  44

Crystal structure
Unit cell a=5.1579 b=5.9292 c=7.8437 alpha=93.44 beta=95.95 gamma=90.37
Fractional coordinates of all 17 atoms:
Zn (0.0000, 0.0000, 0.0000)
Zn (0.1724, 0.7423, 0.3874)
Zn (0.8276, 0.2577, 0.6126)
P (0.2933, 0.2431, 0.3678)
P (0.7067, 0.7569, 0.6322)
O (0.1816, 0.2485, 0.5425)
O (0.1888, 0.0226, 0.2597)
O (0.2109, 0.4502, 0.2659)
O (0.2968, 0.7997, 0.9433)
O (0.3052, 0.1587, 0.9159)
O (0.4072, 0.7647, 0.6019)
O (0.5928, 0.2353, 0.3981)
O (0.6948, 0.8413, 0.0841)
O (0.7032, 0.2003, 0.0567)
O (0.7891, 0.5498, 0.7341)
O (0.8112, 0.9774, 0.7403)
O (0.8184, 0.7515, 0.4575)

Diffraction record for HfSiMo. The X-ray diffraction stick pattern is calculated, not measured: it uses the PBE geometry in the Materials Project and Cu Kα.
Lines closer than 0.1° are merged.

Most intense lines, 10° ≤ 2θ ≤ 90°, sorted by position:
2theta  d/Å  I/Imax
27.7  3.225  23
35.3  2.545  53
36.1  2.489  100
36.4  2.468  45
38.1  2.364  57
44.9  2.017  23

Crystal structure
Unit cell a=6.9484 b=3.5071 c=8.2053 alpha=90.00 beta=90.00 gamma=90.00
Fractional coordinates of all 12 atoms:
Hf (0.0435, 0.2500, 0.1674)
Hf (0.4565, 0.7500, 0.6674)
Hf (0.5435, 0.2500, 0.3326)
Hf (0.9565, 0.7500, 0.8326)
Si (0.2429, 0.7500, 0.3626)
Si (0.2571, 0.2500, 0.8626)
Si (0.7429, 0.7500, 0.1374)
Si (0.7571, 0.2500, 0.6374)
Mo (0.1346, 0.2500, 0.5626)
Mo (0.3654, 0.7500, 0.0626)
Mo (0.6346, 0.2500, 0.9374)
Mo (0.8654, 0.7500, 0.4374)